(1)
This entry pairs a crystal structure of Na8B13C3 with its simulated X-ray powder pattern. Radiation: Cu Kα. Structure: a structure optimized by DFT (PBE).
Intensities are scaled so that the largest is 100.

Cell and atoms:
```
24
Lattice="9.0025 -1.4295 0.0000 9.0025 1.4295 0.0000 -3.0702 0.0000 10.0577" Properties=species:S:1:pos:R:3 pbc="T T T"
Na 0.0000 0.0000 0.0000
Na 4.0781 0.0000 1.2314
Na 2.6104 0.0000 6.2814
Na 6.6550 0.0000 7.5142
Na 8.2353 0.0000 2.4976
Na 10.7867 0.0000 8.7813
Na 12.3468 0.0000 3.7577
Na 16.4131 0.0000 4.9935
B 0.9715 0.0000 4.0686
B -0.4942 0.0000 8.9005
B 1.5029 0.0000 2.3993
B 0.0090 0.0000 7.2722
B 5.1538 0.0000 5.1239
B 5.7060 0.0000 3.3530
B 4.0537 0.0000 8.7705
B 10.7936 0.0000 1.4662
B 9.2998 0.0000 6.3121
B 8.2213 0.0000 9.8679
B 13.8723 0.0000 6.0677
B 15.4242 0.0000 1.0212
B 13.3455 0.0000 7.8083
C 6.6505 0.0000 0.2759
C 9.7424 0.0000 4.7913
C 14.9378 0.0000 2.6271
```

Largest 10 diffraction maxima, low angle first, 2θ = 10–90°:
2.629 Å, I 12; 2.512 Å, I 19; 2.244 Å, I 53; 2.169 Å, I 100; 2.153 Å, I 37; 1.634 Å, I 10; 1.494 Å, I 18; 1.246 Å, I 13; 1.227 Å, I 17; 1.206 Å, I 11


(2)
This entry pairs a crystal structure of Ba2Zn3Au2 with its simulated X-ray powder pattern. Radiation: Cu Kα. Structure: a structure optimized by DFT (PBE).
Intensities are scaled so that the largest is 100.

Cell and atoms:
```
14
Lattice="2.2362 -10.7335 0.0000 2.2362 10.7335 0.0000 0.0000 0.0000 7.9695" Properties=species:S:1:pos:R:3 pbc="T T T"
Ba 2.2362 9.5180 5.9771
Ba 2.2362 6.9979 1.9924
Ba 2.2362 -6.9979 5.9771
Ba 2.2362 -9.5180 1.9924
Zn 2.2362 6.2347 5.9771
Zn 2.2362 1.1890 4.6869
Zn 2.2362 1.1890 7.2673
Zn 2.2362 -1.1890 0.7021
Zn 2.2362 -1.1890 3.2826
Zn 2.2362 -6.2347 1.9924
Au 2.2362 3.5516 0.5587
Au 2.2362 3.5516 3.4260
Au 2.2362 -3.5516 4.5434
Au 2.2362 -3.5516 7.4108
```

Largest 10 diffraction maxima, low angle first, 2θ = 10–90°:
3.578 Å, I 28; 2.947 Å, I 73; 2.887 Å, I 100; 2.747 Å, I 45; 2.683 Å, I 30; 2.381 Å, I 58; 2.236 Å, I 42; 1.861 Å, I 33; 1.630 Å, I 39; 1.142 Å, I 22


(3)
This entry pairs a crystal structure of AlSi3Ni3 with its simulated X-ray powder pattern. Radiation: Cu Kα. Structure: a structure optimized by DFT (PBE).
Intensities are scaled so that the largest is 100.

Cell and atoms:
```
14
Lattice="3.4666 0.0000 0.0000 0.0000 6.9415 0.0000 0.0000 0.0000 7.5150" Properties=species:S:1:pos:R:3 pbc="T T T"
Al 0.8666 1.7354 1.2529
Al 2.5999 5.2061 6.2620
Si 0.8666 0.5569 4.4481
Si 0.8666 2.9138 4.4481
Si 0.8666 5.2061 0.8635
Si 2.5999 1.7354 6.6515
Si 2.5999 4.0277 3.0668
Si 2.5999 6.3846 3.0668
Ni 0.8666 0.0161 6.6199
Ni 0.8666 3.4546 6.6199
Ni 0.8666 5.2061 4.3458
Ni 2.5999 1.7354 3.1691
Ni 2.5999 3.4868 0.8951
Ni 2.5999 6.9254 0.8951
```

Largest 10 diffraction maxima, low angle first, 2θ = 10–90°:
3.149 Å, I 81; 2.505 Å, I 16; 2.332 Å, I 46; 2.054 Å, I 100; 2.030 Å, I 45; 1.925 Å, I 15; 1.879 Å, I 23; 1.864 Å, I 15; 1.734 Å, I 48; 1.274 Å, I 19


(4)
This entry pairs a crystal structure of Li5Ce4Pt6 with its simulated X-ray powder pattern. Radiation: Cu Kα. Structure: a structure optimized by DFT (PBE).
Intensities are scaled so that the largest is 100.

Cell and atoms:
```
30
Lattice="2.0201 -10.0597 0.0000 2.0201 10.0597 0.0000 0.0000 0.0000 14.9624" Properties=species:S:1:pos:R:3 pbc="T T T"
Li 2.0201 8.7111 7.4812
Li 2.0201 7.1557 12.3115
Li 2.0201 6.7947 1.2452
Li 2.0201 6.0509 6.6138
Li 2.0201 3.1536 6.8015
Li 2.0201 -3.1536 14.2827
Li 2.0201 -6.0509 14.0950
Li 2.0201 -6.7947 8.7264
Li 2.0201 -7.1557 4.8303
Li 2.0201 -8.7111 0.0000
Ce 2.0201 3.7161 11.4449
Ce 2.0201 3.2682 1.9682
Ce 2.0201 0.5811 8.9599
Ce 2.0201 0.0819 5.0859
Ce 2.0201 -0.0819 12.5671
Ce 2.0201 -0.5811 1.4787
Ce 2.0201 -3.2682 9.4494
Ce 2.0201 -3.7161 3.9637
Pt 2.0201 8.8462 10.2500
Pt 2.0201 8.8201 14.3817
Pt 2.0201 8.4496 3.4841
Pt 2.0201 4.8306 8.8566
Pt 2.0201 4.4397 4.5742
Pt 2.0201 2.4041 14.0384
Pt 2.0201 -2.4041 6.5572
Pt 2.0201 -4.4397 12.0554
Pt 2.0201 -4.8306 1.3754
Pt 2.0201 -8.4496 10.9653
Pt 2.0201 -8.8201 6.9004
Pt 2.0201 -8.8462 2.7688
```

Largest 10 diffraction maxima, low angle first, 2θ = 10–90°:
3.505 Å, I 58; 3.372 Å, I 68; 3.102 Å, I 47; 3.002 Å, I 73; 2.849 Å, I 85; 2.720 Å, I 99; 2.664 Å, I 53; 2.475 Å, I 100; 2.021 Å, I 85; 1.819 Å, I 60


(5)
This entry pairs a crystal structure of Sm2FeGe3 with its simulated X-ray powder pattern. Radiation: Cu Kα. Structure: a structure optimized by DFT (PBE).
Intensities are scaled so that the largest is 100.

Cell and atoms:
```
12
Lattice="0.0000 4.2082 7.2753 4.1361 0.0000 7.2753 4.1361 4.2082 0.0000" Properties=species:S:1:pos:R:3 pbc="T T T"
Sm 6.2252 4.2082 7.2753
Sm 2.0681 2.1041 3.6377
Sm 6.2042 6.3123 10.9130
Sm 2.0471 4.2082 7.2753
Fe 4.1361 4.2082 4.8719
Fe 4.1361 4.2082 9.6787
Ge 4.1361 4.2082 2.5386
Ge 4.1361 2.1979 6.0138
Ge 4.1361 2.1979 8.5368
Ge 4.1361 6.2185 6.0138
Ge 4.1361 6.2185 8.5368
Ge 4.1361 4.2082 12.0121
```

Largest 10 diffraction maxima, low angle first, 2θ = 10–90°:
3.641 Å, I 13; 2.733 Å, I 100; 2.102 Å, I 40; 2.068 Å, I 13; 1.667 Å, I 15; 1.665 Å, I 7; 1.474 Å, I 25; 1.306 Å, I 13; 1.305 Å, I 6; 1.289 Å, I 10


(6)
This entry pairs a crystal structure of PmHo2ScSb4 with its simulated X-ray powder pattern. Radiation: Cu Kα. Structure: a structure optimized by DFT (PBE).
Intensities are scaled so that the largest is 100.

Cell and atoms:
```
8
Lattice="-3.0852 3.0852 6.1437 3.0852 -3.0852 6.1437 3.0852 3.0852 -6.1437" Properties=species:S:1:pos:R:3 pbc="T T T"
Pm 0.0000 0.0000 0.0000
Ho 3.0852 0.0000 3.0719
Ho 0.0000 3.0852 3.0719
Sc 0.0000 0.0000 6.1437
Sb 3.0852 0.0000 0.0000
Sb 0.0000 0.0000 3.1730
Sb 0.0000 3.0852 0.0000
Sb 0.0000 0.0000 9.1145
```

Largest 10 diffraction maxima, low angle first, 2θ = 10–90°:
5.514 Å, I 5; 3.085 Å, I 89; 3.072 Å, I 44; 2.178 Å, I 100; 1.779 Å, I 35; 1.543 Å, I 11; 1.379 Å, I 30; 1.375 Å, I 14; 1.259 Å, I 22; 1.256 Å, I 11